Record 1
Computed powder X-ray diffraction pattern
Compound: Tb2MnB10
Radiation: a wavelength of 1.5418 Å
Structure: a DFT-relaxed cell (PBE, Alexandria)
Neutral-atom scattering factors, no anomalous dispersion.

Top 12 peaks for 10° ≤ 2θ ≤ 80°, in order of rising 2θ:
d (Å)	two_theta	I/Imax
4.148	21.4	29
3.966	22.4	72
3.198	27.9	14
2.866	31.2	100
2.809	31.9	14
2.799	32.0	18
2.326	38.7	35
2.320	38.8	43
2.074	43.6	16
1.983	45.8	22
1.838	49.6	28
1.629	56.5	13

Crystal structure
```
data_Tb2MnB10
_chemical_formula_sum 'Tb4 Mn2 B20'
_space_group_name_H-M_alt 'P 1'
_space_group_IT_number 1
_space_group_name_Hall 'P 1'
_cell_length_a 5.6184
_cell_length_b 11.1959
_cell_length_c 4.1479
_cell_angle_alpha 90.00
_cell_angle_beta 90.00
_cell_angle_gamma 90.00
loop_
_atom_site_label
_atom_site_type_symbol
_atom_site_fract_x
_atom_site_fract_y
_atom_site_fract_z
Tb1 Tb 0.2098 0.1335 0.0000
Tb2 Tb 0.2902 0.6335 0.0000
Tb3 Tb 0.7098 0.3665 0.0000
Tb4 Tb 0.7902 0.8665 0.0000
Mn1 Mn 0.0000 0.5000 0.5000
Mn2 Mn 0.5000 0.0000 0.5000
B1 B 0.0380 0.3127 0.5000
B2 B 0.1275 0.9610 0.5000
B3 B 0.1495 0.8023 0.5000
B4 B 0.2083 0.3856 0.2013
B5 B 0.2083 0.3856 0.7987
B6 B 0.2917 0.8856 0.2013
B7 B 0.2917 0.8856 0.7987
B8 B 0.3505 0.3023 0.5000
B9 B 0.3725 0.4610 0.5000
B10 B 0.4620 0.8127 0.5000
B11 B 0.5380 0.1873 0.5000
B12 B 0.6275 0.5390 0.5000
B13 B 0.6495 0.6977 0.5000
B14 B 0.7083 0.1144 0.2013
B15 B 0.7083 0.1144 0.7987
B16 B 0.7917 0.6144 0.2013
B17 B 0.7917 0.6144 0.7987
B18 B 0.8505 0.1977 0.5000
B19 B 0.8725 0.0390 0.5000
B20 B 0.9620 0.6873 0.5000
```



Record 2
Computed powder X-ray diffraction pattern
Compound: ErLuSiPd
Radiation: a wavelength of 1.5418 Å
Structure: a DFT-relaxed cell (PBE, Alexandria)
Neutral-atom scattering factors, no anomalous dispersion.

Top 11 peaks for 10° ≤ 2θ ≤ 80°, in order of rising 2θ:
d (Å)	two_theta	I/Imax
4.001	22.2	7
3.465	25.7	22
2.450	36.7	100
2.089	43.3	4
2.000	45.3	7
1.732	52.8	18
1.590	58.0	1
1.550	59.7	9
1.414	66.1	36
1.334	70.6	1
1.225	78.0	11

Crystal structure
```
data_ErLuSiPd
_chemical_formula_sum 'Er1 Lu1 Si1 Pd1'
_space_group_name_H-M_alt 'P 1'
_space_group_IT_number 1
_space_group_name_Hall 'P 1'
_cell_length_a 4.9000
_cell_length_b 4.9000
_cell_length_c 4.9000
_cell_angle_alpha 60.00
_cell_angle_beta 60.00
_cell_angle_gamma 60.00
loop_
_atom_site_label
_atom_site_type_symbol
_atom_site_fract_x
_atom_site_fract_y
_atom_site_fract_z
Er1 Er 0.0000 0.0000 0.0000
Lu1 Lu 0.5000 0.5000 0.5000
Si1 Si 0.7500 0.7500 0.7500
Pd1 Pd 0.2500 0.2500 0.2500
```



Record 3
Computed powder X-ray diffraction pattern
Compound: Nb14VPt
Radiation: a wavelength of 1.5418 Å
Structure: a DFT-relaxed cell (PBE, Alexandria)
Neutral-atom scattering factors, no anomalous dispersion.

Top 12 peaks for 10° ≤ 2θ ≤ 80°, in order of rising 2θ:
d (Å)	two_theta	I/Imax
6.572	13.5	3
4.647	19.1	3
2.939	30.4	3
2.683	33.4	2
2.323	38.8	100
2.191	41.2	1
2.078	43.6	1
1.756	52.1	1
1.643	56.0	17
1.594	57.9	1
1.434	65.0	1
1.341	70.2	33

Crystal structure
```
data_Nb14VPt
_chemical_formula_sum 'Nb14 V1 Pt1'
_space_group_name_H-M_alt 'P 1'
_space_group_IT_number 1
_space_group_name_Hall 'P 1'
_cell_length_a 6.5717
_cell_length_b 6.5717
_cell_length_c 6.5715
_cell_angle_alpha 90.00
_cell_angle_beta 90.00
_cell_angle_gamma 90.00
loop_
_atom_site_label
_atom_site_type_symbol
_atom_site_fract_x
_atom_site_fract_y
_atom_site_fract_z
Nb1 Nb 0.0000 0.0000 0.0000
Nb2 Nb 0.0000 0.5000 0.0000
Nb3 Nb 0.0000 0.5000 0.5000
Nb4 Nb 0.2472 0.2472 0.2521
Nb5 Nb 0.2472 0.2472 0.7479
Nb6 Nb 0.2472 0.7528 0.2521
Nb7 Nb 0.2472 0.7528 0.7479
Nb8 Nb 0.5000 0.0000 0.0000
Nb9 Nb 0.5000 0.0000 0.5000
Nb10 Nb 0.5000 0.5000 0.0000
Nb11 Nb 0.7528 0.2472 0.2521
Nb12 Nb 0.7528 0.2472 0.7479
Nb13 Nb 0.7528 0.7528 0.2521
Nb14 Nb 0.7528 0.7528 0.7479
V1 V 0.0000 0.0000 0.5000
Pt1 Pt 0.5000 0.5000 0.5000
```



> What is the formula in the third record?

Nb14VPt